Starting from a crystal structure in Alexandria, relaxed with PBE, the powder XRD pattern of Ho3FeIr8 was simulated for Cu Kα.

Top 8 peaks for 2θ = 15–90°, by angle:
20.51°, intensity 20
33.80°, intensity 18
39.86°, intensity 100
41.71°, intensity 53
48.55°, intensity 11
64.55°, intensity 32
71.09°, intensity 29
85.95°, intensity 21

Crystal structure
Unit cell a=9.1823 b=9.1823 c=9.1823 alpha=33.59 beta=33.59 gamma=33.59
Fractional coordinates of all 12 atoms:
Ho: 0.0000 0.0000 0.0000
Ho: 0.1285 0.1285 0.1285
Ho: 0.6167 0.6167 0.6167
Fe: 0.4877 0.4877 0.4877
Ir: 0.0619 0.0619 0.5605
Ir: 0.0619 0.5605 0.0619
Ir: 0.0642 0.5632 0.5632
Ir: 0.3125 0.3125 0.3125
Ir: 0.5605 0.0619 0.0619
Ir: 0.5632 0.0642 0.5632
Ir: 0.5632 0.5632 0.0642
Ir: 0.8130 0.8130 0.8130

=====

Starting from a crystal structure in Alexandria, relaxed with PBE, the powder XRD pattern of LaHoFe was simulated for Cu Kα.

Top 8 peaks for 2θ = 15–90°, by angle:
28.41°, intensity 71
29.15°, intensity 86
31.67°, intensity 100
35.29°, intensity 69
38.32°, intensity 44
40.89°, intensity 34
53.30°, intensity 33
54.65°, intensity 25

Crystal structure
Unit cell a=7.0729 b=7.0729 c=7.3172 alpha=90.00 beta=90.00 gamma=119.96
Fractional coordinates of all 12 atoms:
La: 0.1996 0.8004 0.8849
La: 0.3004 0.6996 0.3849
La: 0.6996 0.3004 0.6151
La: 0.8004 0.1996 0.1151
Ho: 0.2122 0.2878 0.7500
Ho: 0.2878 0.2122 0.2500
Ho: 0.7122 0.7878 0.7500
Ho: 0.7878 0.7122 0.2500
Fe: 0.0906 0.9094 0.5408
Fe: 0.4094 0.5906 0.0408
Fe: 0.5906 0.4094 0.9592
Fe: 0.9094 0.0906 0.4592

=====

Starting from a crystal structure in Alexandria, relaxed with PBE, the powder XRD pattern of LiHoFe was simulated for Cu Kα.

Top 8 peaks for 2θ = 15–90°, by angle:
26.46°, intensity 59
31.81°, intensity 75
37.53°, intensity 100
46.70°, intensity 39
47.59°, intensity 22
61.40°, intensity 23
66.31°, intensity 17
80.53°, intensity 22

Crystal structure
Unit cell a=3.8898 b=3.8898 c=10.2281 alpha=90.00 beta=90.00 gamma=120.00
Fractional coordinates of all 6 atoms:
Li: 0.3333 0.6667 0.0775
Li: 0.6667 0.3333 0.9225
Ho: 0.0000 0.0000 0.3227
Ho: 0.0000 0.0000 0.6773
Fe: 0.3333 0.6667 0.4918
Fe: 0.6667 0.3333 0.5082

=====

Starting from a crystal structure in Alexandria, relaxed with PBE, the powder XRD pattern of HoMn3Fe3 was simulated for Cu Kα.

Top 8 peaks for 2θ = 15–90°, by angle:
20.77°, intensity 5
29.53°, intensity 44
36.38°, intensity 100
56.96°, intensity 53
61.30°, intensity 17
69.49°, intensity 14
73.42°, intensity 12
88.54°, intensity 15

Crystal structure
Unit cell a=6.0490 b=6.0490 c=6.0490 alpha=90.00 beta=90.00 gamma=90.00
Fractional coordinates of all 14 atoms:
Ho: 0.0000 0.0000 0.0000
Ho: 0.5000 0.5000 0.5000
Mn: 0.0000 0.2500 0.5000
Mn: 0.0000 0.7500 0.5000
Mn: 0.2500 0.5000 0.0000
Mn: 0.5000 0.0000 0.2500
Mn: 0.5000 0.0000 0.7500
Mn: 0.7500 0.5000 0.0000
Fe: 0.0000 0.5000 0.2500
Fe: 0.0000 0.5000 0.7500
Fe: 0.2500 0.0000 0.5000
Fe: 0.5000 0.2500 0.0000
Fe: 0.5000 0.7500 0.0000
Fe: 0.7500 0.0000 0.5000

=====

Starting from a crystal structure in Alexandria, relaxed with PBE, the powder XRD pattern of HoMn10Fe2 was simulated for Cu Kα.

Top 8 peaks for 2θ = 15–90°, by angle:
30.62°, intensity 34
38.58°, intensity 46
40.66°, intensity 54
43.52°, intensity 46
43.76°, intensity 44
44.18°, intensity 71
44.52°, intensity 100
45.18°, intensity 29

Crystal structure
Unit cell a=6.3276 b=6.3276 c=8.0277 alpha=90.00 beta=90.00 gamma=97.80
Fractional coordinates of all 26 atoms:
Ho: 0.1217 0.8783 0.7500
Ho: 0.8783 0.1217 0.2500
Mn: 0.1290 0.3902 0.7500
Mn: 0.1675 0.8325 0.1054
Mn: 0.1675 0.8325 0.3946
Mn: 0.2255 0.2255 0.0000
Mn: 0.2255 0.2255 0.5000
Mn: 0.2513 0.4832 0.2500
Mn: 0.3902 0.1290 0.2500
Mn: 0.3956 0.6044 0.5701
Mn: 0.3956 0.6044 0.9299
Mn: 0.4832 0.2513 0.7500
Mn: 0.5168 0.7487 0.2500
Mn: 0.6044 0.3956 0.0701
Mn: 0.6044 0.3956 0.4299
Mn: 0.6098 0.8710 0.7500
Mn: 0.7487 0.5168 0.7500
Mn: 0.7745 0.7745 0.0000
Mn: 0.7745 0.7745 0.5000
Mn: 0.8325 0.1675 0.6054
Mn: 0.8325 0.1675 0.8946
Mn: 0.8710 0.6098 0.2500
Fe: 0.0000 0.5000 0.0000
Fe: 0.0000 0.5000 0.5000
Fe: 0.5000 0.0000 0.0000
Fe: 0.5000 0.0000 0.5000

=====

Starting from a crystal structure in Alexandria, relaxed with PBE, the powder XRD pattern of HoMnFe4 was simulated for Cu Kα.

Top 8 peaks for 2θ = 15–90°, by angle:
22.18°, intensity 15
25.66°, intensity 15
36.61°, intensity 48
43.21°, intensity 100
45.24°, intensity 24
65.90°, intensity 17
70.47°, intensity 29
77.82°, intensity 21

Crystal structure
Unit cell a=4.9097 b=4.9097 c=4.9097 alpha=60.00 beta=60.00 gamma=60.00
Fractional coordinates of all 6 atoms:
Ho: 0.0000 0.0000 0.0000
Mn: 0.7500 0.7500 0.7500
Fe: 0.3760 0.3760 0.3760
Fe: 0.3760 0.3760 0.8721
Fe: 0.3760 0.8721 0.3760
Fe: 0.8721 0.3760 0.3760